For Nd4DyHoTm2, a DFT-relaxed cell (PBE, Alexandria) gives the theoretical powder diffractogram in this record (λ = 1.5418 Å (Cu Kα)).
No peak broadening, texture or thermal motion is included.

Peak list (8 most intense, 2θ from 5° to 70°, by angle)
| 2θ (°) | d_spacing | I_rel | h k l |
| --- | --- | --- | --- |
| 30.47 | 2.934 | 1000 | 1 1 2 |
| 34.93 | 2.569 | 174 | 0 2 0 |
| 35.09 | 2.558 | 172 | 2 0 0 |
| 35.96 | 2.497 | 161 | 0 0 4 |
| 50.35 | 1.812 | 124 | 2 2 0 |
| 59.89 | 1.544 | 147 | 1 3 2 |
| 60.10 | 1.539 | 146 | 3 1 2 |
| 61.27 | 1.513 | 138 | 1 1 6 |

Crystal structure
```
data_Nd4DyHoTm2
_cell_length_a 5.1151
_cell_length_b 5.1377
_cell_length_c 9.9890
_cell_angle_alpha 90.00
_cell_angle_beta 90.00
_cell_angle_gamma 90.00
_symmetry_space_group_name_H-M 'P m m m'
_symmetry_Int_Tables_number 47
loop_
_symmetry_equiv_pos_as_xyz
'x,y,z'
'-x,-y,-z'
'-x,-y,z'
'x,y,-z'
'x,-y,-z'
'-x,y,z'
'-x,y,-z'
'x,-y,z'
loop_
_atom_site_label
_atom_site_type_symbol
_atom_site_fract_x
_atom_site_fract_y
_atom_site_fract_z
Nd1 Nd 0.0000 0.0000 0.2501
Nd2 Nd 0.5000 0.5000 0.2505
Dy1 Dy 0.0000 0.5000 0.0000
Ho1 Ho 0.5000 0.0000 0.5000
Tm1 Tm 0.0000 0.5000 0.5000
Tm2 Tm 0.5000 0.0000 0.0000
```